Pm2Ga3Sn: computed PXRD pattern (CuKα), based on a structure optimized by DFT (PBE).

Principal peaks in the range 10 to 80 degrees two-theta, by intensity:
| 2θ/deg | I (rel.) | index |
| --- | --- | --- |
| 31.58 | 100 | 1 1 1 |
| 41.19 | 29 | 0 1 3 |
| 60.58 | 19 | 2 1 3 |
| 41.42 | 16 | 0 2 0 |
| 52.96 | 15 | 1 2 2 |
| 42.39 | 14 | 2 0 0 |
| 70.79 | 10 | 3 1 1 |
| 60.76 | 10 | 2 2 0 |
| 52.71 | 8 | 1 0 4 |
| 69.16 | 7 | 1 2 4 |

Crystal structure
Unit cell a=4.265 b=4.360 c=7.606 alpha=90.00 beta=90.00 gamma=90.00
Space group Pmm2 (No. 25)
Inequivalent atoms, fractional coordinates:
Pm1 0.000 0.000 0.000 (multiplicity 1)
Pm2 0.000 0.500 0.484 (multiplicity 1)
Ga1 0.500 0.000 0.319 (multiplicity 1)
Ga2 0.500 0.000 0.639 (multiplicity 1)
Ga3 0.500 0.500 0.173 (multiplicity 1)
Sn1 0.500 0.500 0.828 (multiplicity 1)

=====

Tl2FeTc: computed PXRD pattern (CuKα), based on a structure optimized by DFT (PBE).

Principal peaks in the range 10 to 80 degrees two-theta, by intensity:
| 2θ/deg | I (rel.) | index |
| --- | --- | --- |
| 39.78 | 100 | 0 1 5 |
| 36.23 | 93 | 1 0 4 |
| 42.39 | 86 | 1 1 1 |
| 29.95 | 73 | 0 1 1 |
| 31.46 | 62 | 0 0 6 |
| 31.16 | 59 | 1 0 2 |
| 45.10 | 40 | 1 1 3 |
| 65.68 | 38 | 1 1 9 |
| 75.13 | 31 | 2 1 5 |
| 73.20 | 24 | 1 2 4 |

Crystal structure
Unit cell a=3.048 b=3.030 c=17.060 alpha=90.00 beta=90.00 gamma=90.00
Space group Amm2 (No. 38)
Inequivalent atoms, fractional coordinates:
Tl1 0.000 0.000 0.000 (multiplicity 2)
Tl2 0.500 0.000 0.178 (multiplicity 2)
Fe1 0.000 0.000 0.798 (multiplicity 2)
Tc1 0.500 0.000 0.373 (multiplicity 2)

=====

PrSm6Tm2Th: computed PXRD pattern (CuKα), based on a structure optimized by DFT (PBE).

Principal peaks in the range 10 to 80 degrees two-theta, by intensity:
| 2θ/deg | I (rel.) | index |
| --- | --- | --- |
| 31.38 | 100 | 2 4 -1 |
| 30.79 | 84 | 2 2 2 |
| 28.35 | 69 | 1 3 2 |
| 30.47 | 68 | 0 2 3 |
| 29.74 | 67 | 3 1 -1 |
| 32.45 | 43 | 1 5 -1 |
| 33.75 | 33 | 1 3 -3 |
| 34.25 | 24 | 2 2 -3 |
| 27.73 | 23 | 2 2 -2 |
| 58.08 | 23 | 3 7 -3 |

Crystal structure
Unit cell a=9.389 b=14.960 c=9.641 alpha=90.00 beta=97.02 gamma=90.00
Space group C2/c (No. 15)
Inequivalent atoms, fractional coordinates:
Pr1 0.000 0.095 0.250 (multiplicity 4)
Sm1 0.065 0.327 0.441 (multiplicity 8)
Sm2 0.094 0.109 0.618 (multiplicity 8)
Sm3 0.204 0.279 0.817 (multiplicity 8)
Tm1 0.245 0.453 0.053 (multiplicity 8)
Th1 0.000 0.467 0.750 (multiplicity 4)

=====

Number 2 is which compound?
Tl2FeTc

=====

What did the second record say?
Tl2FeTc: computed PXRD pattern (CuKα), based on a structure optimized by DFT (PBE).

Principal peaks in the range 10 to 80 degrees two-theta, by intensity:
| 2θ/deg | I (rel.) | index |
| --- | --- | --- |
| 39.78 | 100 | 0 1 5 |
| 36.23 | 93 | 1 0 4 |
| 42.39 | 86 | 1 1 1 |
| 29.95 | 73 | 0 1 1 |
| 31.46 | 62 | 0 0 6 |
| 31.16 | 59 | 1 0 2 |
| 45.10 | 40 | 1 1 3 |
| 65.68 | 38 | 1 1 9 |
| 75.13 | 31 | 2 1 5 |
| 73.20 | 24 | 1 2 4 |

Crystal structure
Unit cell a=3.048 b=3.030 c=17.060 alpha=90.00 beta=90.00 gamma=90.00
Space group Amm2 (No. 38)
Inequivalent atoms, fractional coordinates:
Tl1 0.000 0.000 0.000 (multiplicity 2)
Tl2 0.500 0.000 0.178 (multiplicity 2)
Fe1 0.000 0.000 0.798 (multiplicity 2)
Tc1 0.500 0.000 0.373 (multiplicity 2)